(1)
DyAlGe2O7: simulated powder X-ray diffraction pattern (Cu Kα (λ = 1.5418 Å)), based on a PBE-relaxed structure.
Lines closer than 0.1° are merged.

Principal peaks in the range 2θ from 5° to 70°, by intensity:
27.92 deg, 3.196 Å, rel. 100.0
30.04 deg, 2.975 Å, rel. 97.3
28.14 deg, 3.171 Å, rel. 58.8
15.78 deg, 5.615 Å, rel. 39.0
33.40 deg, 2.683 Å, rel. 37.0
48.40 deg, 1.881 Å, rel. 36.0
31.88 deg, 2.807 Å, rel. 33.9
31.10 deg, 2.876 Å, rel. 30.8
36.49 deg, 2.462 Å, rel. 28.7
24.82 deg, 3.588 Å, rel. 27.0
45.47 deg, 1.995 Å, rel. 25.7
53.49 deg, 1.713 Å, rel. 21.0

Cell and atoms:
```
data_DyAlGe2O7
_chemical_formula_sum 'Dy4 Al4 Ge8 O28'
_cell_length_a 7.224
_cell_length_b 6.538
_cell_length_c 12.691
_cell_angle_alpha 90.00
_cell_angle_beta 117.77
_cell_angle_gamma 90.00
_symmetry_space_group_name_H-M 'P 1 21/c 1'
_symmetry_Int_Tables_number 14
loop_
_symmetry_equiv_pos_as_xyz
'x,y,z'
'-x,-y,-z'
'-x,y+1/2,-z+1/2'
'x,-y+1/2,z+1/2'
loop_
_atom_site_label
_atom_site_fract_x
_atom_site_fract_y
_atom_site_fract_z
Dy1 0.243 0.145 0.471
Al1 0.210 0.101 0.728
Ge1 0.214 0.656 0.453
Ge2 0.303 0.590 0.723
O1 0.013 0.654 0.918
O2 0.156 0.683 0.187
O3 0.208 0.056 0.868
O4 0.221 0.117 0.279
O5 0.251 0.004 0.076
O6 0.411 0.671 0.978
O7 0.423 0.122 0.691
```

=====

(2)
MgSi2: simulated powder X-ray diffraction pattern (Cu Kα (λ = 1.5418 Å)), based on a PBE-relaxed structure.
Lines closer than 0.1° are merged.

Principal peaks in the range 2θ from 5° to 70°, by intensity:
39.76 deg, 2.267 Å, rel. 100.0
39.59 deg, 2.276 Å, rel. 58.4
36.26 deg, 2.477 Å, rel. 46.6
36.80 deg, 2.442 Å, rel. 42.1
41.61 deg, 2.171 Å, rel. 32.8
35.23 deg, 2.547 Å, rel. 31.2
36.44 deg, 2.466 Å, rel. 30.8
11.32 deg, 7.817 Å, rel. 27.0
49.69 deg, 1.835 Å, rel. 26.2
34.15 deg, 2.625 Å, rel. 24.5
35.64 deg, 2.519 Å, rel. 24.0
49.98 deg, 1.825 Å, rel. 24.0

Cell and atoms:
```
data_MgSi2
_chemical_formula_sum 'Mg4 Si8'
_cell_length_a 4.535
_cell_length_b 6.228
_cell_length_c 8.196
_cell_angle_alpha 98.43
_cell_angle_beta 105.01
_cell_angle_gamma 91.17
_symmetry_space_group_name_H-M 'P 1'
_symmetry_Int_Tables_number 1
loop_
_symmetry_equiv_pos_as_xyz
'x,y,z'
loop_
_atom_site_label
_atom_site_fract_x
_atom_site_fract_y
_atom_site_fract_z
Mg1 0.000 0.000 0.000
Mg2 0.080 0.827 0.422
Mg3 0.308 0.425 0.618
Mg4 0.493 0.311 0.987
Si1 0.039 0.591 0.092
Si2 0.104 0.320 0.281
Si3 0.412 0.862 0.812
Si4 0.545 0.760 0.103
Si5 0.614 0.118 0.290
Si6 0.637 0.048 0.585
Si7 0.860 0.719 0.690
Si8 0.906 0.360 0.804
```

=====

(3)
Ho3Ge4: simulated powder X-ray diffraction pattern (Cu Kα (λ = 1.5418 Å)), based on a PBE-relaxed structure.
Lines closer than 0.1° are merged.

Principal peaks in the range 2θ from 5° to 70°, by intensity:
34.54 deg, 2.597 Å, rel. 100.0
33.54 deg, 2.672 Å, rel. 82.2
30.16 deg, 2.964 Å, rel. 53.6
34.21 deg, 2.621 Å, rel. 38.6
38.66 deg, 2.329 Å, rel. 36.9
44.71 deg, 2.027 Å, rel. 35.4
42.32 deg, 2.136 Å, rel. 35.2
26.64 deg, 3.346 Å, rel. 26.1
37.84 deg, 2.377 Å, rel. 26.1
51.45 deg, 1.776 Å, rel. 22.3
25.10 deg, 3.548 Å, rel. 20.2
63.26 deg, 1.470 Å, rel. 15.7

Cell and atoms:
```
data_Ho3Ge4
_chemical_formula_sum 'Ho12 Ge16'
_cell_length_a 4.054
_cell_length_b 10.661
_cell_length_c 14.264
_cell_angle_alpha 90.00
_cell_angle_beta 90.00
_cell_angle_gamma 90.00
_symmetry_space_group_name_H-M 'C m c m'
_symmetry_Int_Tables_number 63
_symmetry_space_group_name_Hall '-C 2c 2'
loop_
_atom_site_label
_atom_site_fract_x
_atom_site_fract_y
_atom_site_fract_z
Ho1 0.000 0.045 0.250
Ho2 0.000 0.330 0.097
Ge1 0.000 0.000 0.000
Ge2 0.000 0.226 0.750
Ge3 0.000 0.381 0.608
```

=====

(4)
Ga5Pd: simulated powder X-ray diffraction pattern (Cu Kα (λ = 1.5418 Å)), based on a PBE-relaxed structure.
Lines closer than 0.1° are merged.

Principal peaks in the range 2θ from 5° to 70°, by intensity:
43.91 deg, 2.062 Å, rel. 100.0
31.94 deg, 2.802 Å, rel. 84.2
40.70 deg, 2.217 Å, rel. 83.2
40.92 deg, 2.205 Å, rel. 78.6
45.39 deg, 1.998 Å, rel. 48.1
68.48 deg, 1.370 Å, rel. 37.3
39.07 deg, 2.305 Å, rel. 23.6
19.25 deg, 4.611 Å, rel. 19.4
17.54 deg, 5.057 Å, rel. 17.5
27.35 deg, 3.260 Å, rel. 17.0
63.84 deg, 1.458 Å, rel. 16.2
53.81 deg, 1.704 Å, rel. 12.0

Cell and atoms:
```
data_Ga5Pd
_chemical_formula_sum 'Ga20 Pd4'
_cell_length_a 6.521
_cell_length_b 6.521
_cell_length_c 10.114
_cell_angle_alpha 90.00
_cell_angle_beta 90.00
_cell_angle_gamma 90.00
_symmetry_space_group_name_H-M 'I 4/m c m'
_symmetry_Int_Tables_number 140
_symmetry_space_group_name_Hall '-I 4 2c'
loop_
_atom_site_label
_atom_site_fract_x
_atom_site_fract_y
_atom_site_fract_z
Ga1 0.000 0.000 0.000
Ga2 0.146 0.354 0.139
Pd1 0.000 0.000 0.250
```

=====

(5)
Sb2O3: simulated powder X-ray diffraction pattern (Cu Kα (λ = 1.5418 Å)), based on a PBE-relaxed structure.
Lines closer than 0.1° are merged.

Principal peaks in the range 2θ from 5° to 70°, by intensity:
24.82 deg, 3.588 Å, rel. 100.0
27.78 deg, 3.212 Å, rel. 46.0
31.13 deg, 2.873 Å, rel. 38.6
32.33 deg, 2.769 Å, rel. 35.3
21.47 deg, 4.139 Å, rel. 28.0
38.39 deg, 2.345 Å, rel. 25.9
33.58 deg, 2.669 Å, rel. 19.9
19.11 deg, 4.643 Å, rel. 18.2
51.04 deg, 1.789 Å, rel. 17.0
43.21 deg, 2.094 Å, rel. 16.7
49.51 deg, 1.841 Å, rel. 15.9
31.00 deg, 2.884 Å, rel. 15.4

Cell and atoms:
```
data_Sb2O3
_chemical_formula_sum 'Sb8 O12'
_cell_length_a 8.307
_cell_length_b 4.846
_cell_length_c 10.813
_cell_angle_alpha 90.00
_cell_angle_beta 120.81
_cell_angle_gamma 90.00
_symmetry_space_group_name_H-M 'P 1 21/c 1'
_symmetry_Int_Tables_number 14
loop_
_symmetry_equiv_pos_as_xyz
'x,y,z'
'-x,-y,-z'
'-x,y+1/2,-z+1/2'
'x,-y+1/2,z+1/2'
loop_
_atom_site_label
_atom_site_fract_x
_atom_site_fract_y
_atom_site_fract_z
Sb1 0.090 0.172 0.399
Sb2 0.395 0.644 0.303
O1 0.103 0.677 0.807
O2 0.155 0.601 0.105
O3 0.448 0.039 0.286
```

=====

(6)
CsMn4Cl9: simulated powder X-ray diffraction pattern (Cu Kα (λ = 1.5418 Å)), based on a PBE-relaxed structure.
Lines closer than 0.1° are merged.

Principal peaks in the range 2θ from 5° to 70°, by intensity:
33.89 deg, 2.645 Å, rel. 100.0
18.78 deg, 4.726 Å, rel. 74.4
48.85 deg, 1.865 Å, rel. 62.9
34.11 deg, 2.629 Å, rel. 48.3
29.30 deg, 3.048 Å, rel. 48.1
19.95 deg, 4.451 Å, rel. 38.3
48.69 deg, 1.870 Å, rel. 31.0
60.78 deg, 1.524 Å, rel. 30.9
24.11 deg, 3.692 Å, rel. 27.6
30.60 deg, 2.922 Å, rel. 17.8
28.50 deg, 3.132 Å, rel. 15.0
50.14 deg, 1.819 Å, rel. 11.7

Cell and atoms:
```
data_CsMn4Cl9
_chemical_formula_sum 'Cs4 Mn16 Cl36'
_cell_length_a 11.829
_cell_length_b 11.829
_cell_length_c 10.515
_cell_angle_alpha 90.00
_cell_angle_beta 90.00
_cell_angle_gamma 90.00
_symmetry_space_group_name_H-M 'I 41/a'
_symmetry_Int_Tables_number 88
loop_
_symmetry_equiv_pos_as_xyz
'x,y,z'
'-x,-y,-z'
'-y+3/4,x+1/4,z+1/4'
'y+3/4,-x+1/4,-z+1/4'
'-x+1/2,-y,z+1/2'
'x+1/2,y,-z+1/2'
'y+3/4,-x+3/4,z+3/4'
'-y+3/4,x+3/4,-z+3/4'
'x+1/2,y+1/2,z+1/2'
'-x+1/2,-y+1/2,-z+1/2'
'-y+1/4,x+3/4,z+3/4'
'y+1/4,-x+3/4,-z+3/4'
'-x,-y+1/2,z'
'x,y+1/2,-z'
'y+1/4,-x+1/4,z+1/4'
'-y+1/4,x+1/4,-z+1/4'
loop_
_atom_site_label
_atom_site_fract_x
_atom_site_fract_y
_atom_site_fract_z
Cs1 0.000 0.250 0.125
Mn1 0.104 0.456 0.631
Cl1 0.000 0.250 0.625
Cl2 0.094 0.463 0.382
Cl3 0.108 0.448 0.865
```

=====

Repeat the second record exactly.
MgSi2: simulated powder X-ray diffraction pattern (Cu Kα (λ = 1.5418 Å)), based on a PBE-relaxed structure.
Lines closer than 0.1° are merged.

Principal peaks in the range 2θ from 5° to 70°, by intensity:
39.76 deg, 2.267 Å, rel. 100.0
39.59 deg, 2.276 Å, rel. 58.4
36.26 deg, 2.477 Å, rel. 46.6
36.80 deg, 2.442 Å, rel. 42.1
41.61 deg, 2.171 Å, rel. 32.8
35.23 deg, 2.547 Å, rel. 31.2
36.44 deg, 2.466 Å, rel. 30.8
11.32 deg, 7.817 Å, rel. 27.0
49.69 deg, 1.835 Å, rel. 26.2
34.15 deg, 2.625 Å, rel. 24.5
35.64 deg, 2.519 Å, rel. 24.0
49.98 deg, 1.825 Å, rel. 24.0

Cell and atoms:
```
data_MgSi2
_chemical_formula_sum 'Mg4 Si8'
_cell_length_a 4.535
_cell_length_b 6.228
_cell_length_c 8.196
_cell_angle_alpha 98.43
_cell_angle_beta 105.01
_cell_angle_gamma 91.17
_symmetry_space_group_name_H-M 'P 1'
_symmetry_Int_Tables_number 1
loop_
_symmetry_equiv_pos_as_xyz
'x,y,z'
loop_
_atom_site_label
_atom_site_fract_x
_atom_site_fract_y
_atom_site_fract_z
Mg1 0.000 0.000 0.000
Mg2 0.080 0.827 0.422
Mg3 0.308 0.425 0.618
Mg4 0.493 0.311 0.987
Si1 0.039 0.591 0.092
Si2 0.104 0.320 0.281
Si3 0.412 0.862 0.812
Si4 0.545 0.760 0.103
Si5 0.614 0.118 0.290
Si6 0.637 0.048 0.585
Si7 0.860 0.719 0.690
Si8 0.906 0.360 0.804
```

=====

Please write out number 4 again, unchanged.
Ga5Pd: simulated powder X-ray diffraction pattern (Cu Kα (λ = 1.5418 Å)), based on a PBE-relaxed structure.
Lines closer than 0.1° are merged.

Principal peaks in the range 2θ from 5° to 70°, by intensity:
43.91 deg, 2.062 Å, rel. 100.0
31.94 deg, 2.802 Å, rel. 84.2
40.70 deg, 2.217 Å, rel. 83.2
40.92 deg, 2.205 Å, rel. 78.6
45.39 deg, 1.998 Å, rel. 48.1
68.48 deg, 1.370 Å, rel. 37.3
39.07 deg, 2.305 Å, rel. 23.6
19.25 deg, 4.611 Å, rel. 19.4
17.54 deg, 5.057 Å, rel. 17.5
27.35 deg, 3.260 Å, rel. 17.0
63.84 deg, 1.458 Å, rel. 16.2
53.81 deg, 1.704 Å, rel. 12.0

Cell and atoms:
```
data_Ga5Pd
_chemical_formula_sum 'Ga20 Pd4'
_cell_length_a 6.521
_cell_length_b 6.521
_cell_length_c 10.114
_cell_angle_alpha 90.00
_cell_angle_beta 90.00
_cell_angle_gamma 90.00
_symmetry_space_group_name_H-M 'I 4/m c m'
_symmetry_Int_Tables_number 140
_symmetry_space_group_name_Hall '-I 4 2c'
loop_
_atom_site_label
_atom_site_fract_x
_atom_site_fract_y
_atom_site_fract_z
Ga1 0.000 0.000 0.000
Ga2 0.146 0.354 0.139
Pd1 0.000 0.000 0.250
```